Structure and computed X-ray powder pattern of Tm4GeIr (a PBE-relaxed structure; Cu Kα (weighted mean of Kα1 and Kα2)).
Lines closer than 0.1° are merged.

The 10 most intense peaks (2θ from 10° to 90°), by angle:
2θ 12.7, I = 10; 2θ 22.7, I = 29; 2θ 25.6, I = 12; 2θ 26.5, I = 23; 2θ 37.2, I = 100; 2θ 37.8, I = 48; 2θ 54.6, I = 17; 2θ 66.7, I = 17; 2θ 67.9, I = 34; 2θ 79.3, I = 10

Cell and atoms:
Cell lengths 8.421, 8.421, 8.421 Å; angles 132.91, 132.91, 68.80 degrees
Element x y z (fractional)
Tm1 0.123 0.623 0.983
Tm2 0.140 0.123 0.500
Tm3 0.360 0.860 0.983
Tm4 0.377 0.360 0.500
Tm5 0.623 0.640 0.500
Tm6 0.640 0.140 0.017
Tm7 0.860 0.877 0.500
Tm8 0.877 0.377 0.017
Ge1 0.250 0.250 0.000
Ge2 0.750 0.750 0.000
Ir1 0.000 0.500 0.500
Ir2 0.500 0.000 0.500